(1)
Dy3Ag4Sn4: calculated PXRD pattern (Cu Kα), based on a DFT-relaxed cell (PBE, the Materials Project).

Main lines, in order of rising 2θ (15 to 90 degrees two-theta):
d 2.831, intensity 100
d 2.733, intensity 68
d 2.558, intensity 15
d 2.290, intensity 34
d 2.223, intensity 22
d 2.101, intensity 26

Structure:
Cell lengths 8.8220, 8.8220, 8.8220 Å; angles 149.91, 130.36, 59.14 degrees
Fractional coordinates of all 11 atoms:
Dy (0.0000, 0.0000, 0.0000)
Dy (0.3725, 0.8725, 0.5000)
Dy (0.6275, 0.1275, 0.5000)
Ag (0.0263, 0.3287, 0.6977)
Ag (0.3690, 0.6713, 0.6977)
Ag (0.6310, 0.3287, 0.3023)
Ag (0.9737, 0.6713, 0.3023)
Sn (0.2158, 0.2158, 0.0000)
Sn (0.3037, 0.5000, 0.8037)
Sn (0.6963, 0.5000, 0.1963)
Sn (0.7842, 0.7842, 0.0000)

---

(2)
AlPO4: calculated PXRD pattern (Cu Kα), based on a DFT-relaxed cell (PBE, the Materials Project).

Main lines, in order of rising 2θ (15 to 90 degrees two-theta):
d 5.394, intensity 100
d 4.297, intensity 33
d 4.250, intensity 65
d 4.121, intensity 28
d 3.973, intensity 44
d 3.220, intensity 85

Structure:
Cell lengths 8.8570, 8.8853, 12.9083 Å; angles 70.15, 71.33, 74.91 degrees
Fractional coordinates of all 48 atoms:
Al (0.0135, 0.4732, 0.3241)
Al (0.1809, 0.8854, 0.3145)
Al (0.1979, 0.9171, 0.8692)
Al (0.4782, 0.7626, 0.5583)
Al (0.5218, 0.2374, 0.4417)
Al (0.8021, 0.0829, 0.1308)
Al (0.8191, 0.1146, 0.6855)
Al (0.9865, 0.5268, 0.6759)
P (0.1008, 0.7913, 0.1284)
P (0.1035, 0.8266, 0.6873)
P (0.2405, 0.5075, 0.4560)
P (0.4814, 0.0135, 0.3193)
P (0.5186, 0.9865, 0.6807)
P (0.7595, 0.4925, 0.5440)
P (0.8965, 0.1734, 0.3127)
P (0.8992, 0.2087, 0.8716)
O (0.0023, 0.6987, 0.7062)
O (0.0106, 0.9981, 0.6418)
O (0.0643, 0.0991, 0.8757)
O (0.0720, 0.6171, 0.1941)
O (0.1351, 0.8109, 0.8016)
O (0.1584, 0.4341, 0.4002)
O (0.1713, 0.4583, 0.5867)
O (0.1927, 0.8513, 0.1858)
O (0.2038, 0.7940, 0.0069)
O (0.2119, 0.6941, 0.4118)
O (0.2658, 0.7988, 0.5996)
O (0.3274, 0.9955, 0.2980)
O (0.3862, 0.9728, 0.7927)
O (0.4234, 0.4405, 0.4275)
O (0.4489, 0.1685, 0.3570)
O (0.4636, 0.1343, 0.5872)
O (0.5364, 0.8657, 0.4128)
O (0.5511, 0.8315, 0.6430)
O (0.5766, 0.5595, 0.5725)
O (0.6138, 0.0272, 0.2073)
O (0.6726, 0.0045, 0.7020)
O (0.7342, 0.2012, 0.4004)
O (0.7881, 0.3059, 0.5882)
O (0.7962, 0.2060, 0.9931)
O (0.8073, 0.1487, 0.8142)
O (0.8287, 0.5417, 0.4133)
O (0.8416, 0.5659, 0.5998)
O (0.8649, 0.1891, 0.1984)
O (0.9280, 0.3829, 0.8059)
O (0.9357, 0.9009, 0.1243)
O (0.9894, 0.0019, 0.3582)
O (0.9977, 0.3013, 0.2938)